No. 1
Simulated powder diffraction line list of Ca5TiSn4B10O30 for a wavelength of 1.5418 Å, from a cell relaxed with GGA-PBE.
Lines closer than 0.1° are merged.

Largest 8 diffraction maxima, by angle, 5 to 70 degrees two-theta:
| 2theta | I (rel.) | h k l |
| --- | --- | --- |
| 16.30 | 304 | 0 1 -2 |
| 21.64 | 304 | 1 0 2 |
| 23.64 | 656 | 1 1 0 |
| 30.40 | 1000 | 0 2 1 |
| 36.69 | 255 | 1 1 5 |
| 40.39 | 234 | 1 2 3 |
| 44.11 | 256 | 0 2 6 |
| 50.12 | 417 | 1 3 1 |

Structural model:
Cell: 4.8973 6.1301 19.1453 Å, 97.43 97.34 90.02°
Space group P-1 (No. 2)
Unique sites:
Ca  0.0000  0.0000  0.0000
Ca  0.2000  0.8000  0.4000
Ca  0.4017  0.6004  0.8019
Ti  0.5000  0.5000  0.0000
Sn  0.1004  0.8997  0.1998
Sn  0.3000  0.6999  0.6001
B  0.0450  0.4766  0.0931
B  0.1520  0.3264  0.3041
B  0.2479  0.2736  0.4957
B  0.3519  0.1266  0.7043
B  0.4496  0.0790  0.8968
O  0.0357  0.4161  0.8445
O  0.0614  0.1601  0.4429
O  0.0719  0.1421  0.7085
O  0.1284  0.6576  0.6920
O  0.1551  0.6300  0.9576
O  0.1558  0.3857  0.5557
O  0.2445  0.2141  0.2442
O  0.2604  0.9640  0.8449
O  0.2713  0.9448  0.1081
O  0.3218  0.4581  0.0852
O  0.3382  0.4397  0.3571
O  0.3666  0.1992  0.9565
O  0.4441  0.0145  0.6444
O  0.4621  0.7598  0.2427
O  0.4721  0.7423  0.5083


No. 2
Simulated powder diffraction line list of Li3CuP2O8 for a wavelength of 1.5418 Å, from a cell relaxed with GGA-PBE.
Lines closer than 0.1° are merged.

Largest 8 diffraction maxima, by angle, 5 to 70 degrees two-theta:
| 2theta | I (rel.) | h k l |
| --- | --- | --- |
| 14.11 | 742 | 0 1 1 |
| 15.85 | 419 | 1 1 -1 |
| 21.87 | 975 | 1 2 -1 |
| 22.40 | 1000 | 2 0 0 |
| 24.03 | 546 | 0 1 2 |
| 32.01 | 481 | 2 2 -2 |
| 35.00 | 504 | 0 4 0 |
| 36.38 | 502 | 2 0 2 |

Structural model:
Cell: 8.2967 10.2559 8.3038 Å, 90.00 106.96 90.00°
Space group P2_1 (No. 4)
Unique sites:
Li  0.0271  0.0000  0.0362
Li  0.0900  0.7388  0.8461
Li  0.1604  0.2443  0.8992
Li  0.3487  0.9134  0.0998
Li  0.4041  0.2284  0.6604
Li  0.4172  0.4211  0.1466
Cu  0.1614  0.4268  0.4026
Cu  0.3343  0.7307  0.5964
P  0.2051  0.9868  0.7303
P  0.2211  0.6668  0.2118
P  0.2777  0.4881  0.7937
P  0.2916  0.1735  0.2691
O  0.0466  0.9782  0.5702
O  0.0574  0.6809  0.0645
O  0.1320  0.4351  0.8517
O  0.1444  0.2457  0.3179
O  0.1578  0.9240  0.8802
O  0.1914  0.7281  0.3729
O  0.2369  0.0336  0.2207
O  0.2427  0.6371  0.7482
O  0.2543  0.5159  0.2453
O  0.2569  0.1293  0.7595
O  0.2957  0.4127  0.6346
O  0.3324  0.2468  0.1256
O  0.3515  0.9079  0.6930
O  0.3724  0.7300  0.1742
O  0.4457  0.4723  0.9298
O  0.4484  0.1804  0.4331